[1]
For K2Sn7Au12, a structure optimized by DFT (GGA-PBE) gives the computed powder X-ray diffraction pattern in this record (CuKα).
No peak broadening, texture or thermal motion is included.

Lattice parameters (Å, degrees): 5.149 10.558 10.568 60.03 89.97 89.95
Fractional positions:
K 0.212 0.333 0.334
K 0.788 0.667 0.666
Sn 0.339 0.385 0.717
Sn 0.340 0.898 0.384
Sn 0.341 0.717 0.898
Sn 0.500 0.000 0.000
Sn 0.659 0.283 0.102
Sn 0.660 0.102 0.616
Sn 0.661 0.615 0.283
Au 0.163 0.130 0.126
Au 0.164 0.126 0.744
Au 0.164 0.744 0.130
Au 0.199 0.443 0.944
Au 0.199 0.612 0.443
Au 0.200 0.945 0.612
Au 0.800 0.055 0.388
Au 0.801 0.388 0.557
Au 0.801 0.557 0.056
Au 0.836 0.256 0.870
Au 0.836 0.874 0.256
Au 0.837 0.870 0.874

Principal peaks in the range 15 to 90 degrees two-theta, low angle first:
2theta, d/Å, Rel. int.
16.78, 5.283, 30
31.15, 2.871, 100
34.17, 2.624, 15
38.91, 2.314, 19
39.59, 2.276, 45
40.19, 2.244, 16
43.09, 2.099, 27
43.84, 2.065, 19
46.73, 1.944, 14
70.93, 1.329, 20

[2]
For K3SnAu, a structure optimized by DFT (GGA-PBE) gives the computed powder X-ray diffraction pattern in this record (CuKα).
No peak broadening, texture or thermal motion is included.

Lattice parameters (Å, degrees): 12.930 12.930 4.970 90.00 90.00 90.00
Fractional positions:
K 0.025 0.321 0.000
K 0.098 0.098 0.500
K 0.179 0.525 0.500
K 0.321 0.025 0.000
K 0.402 0.598 0.000
K 0.475 0.821 0.500
K 0.525 0.179 0.500
K 0.598 0.402 0.000
K 0.679 0.975 0.000
K 0.821 0.475 0.500
K 0.902 0.902 0.500
K 0.975 0.679 0.000
Sn 0.182 0.818 0.500
Sn 0.318 0.318 0.000
Sn 0.682 0.682 0.000
Sn 0.818 0.182 0.500
Au 0.120 0.880 0.000
Au 0.380 0.380 0.500
Au 0.620 0.620 0.500
Au 0.880 0.120 0.000

Principal peaks in the range 15 to 90 degrees two-theta, low angle first:
2theta, d/Å, Rel. int.
15.32, 5.783, 100
21.74, 4.089, 20
26.49, 3.365, 28
28.26, 3.158, 28
29.30, 3.048, 22
36.14, 2.485, 18
39.27, 2.294, 24
39.46, 2.284, 27
48.12, 1.891, 18
53.39, 1.716, 19